No. 1
Computed XRD peak list of Mg7Si4 for λ = 1.5418 Å (Cu Kα), from a PBE-relaxed structure.
Lines closer than 0.1° are merged.

Main lines, in order of falling intensity (15 to 90 degrees two-theta):
2θ (°)  intensity  hkl
38.08  100  1 -2 2
34.27  72  -1 2 2
41.01  56  2 0 -3
36.89  52  2 0 3
33.33  50  1 0 -4
34.51  48  2 0 -1
35.21  47  0 2 -2
59.37  29  0 4 2
40.56  28  2 0 4
16.95  27  1 0 1
33.49  27  1 2 2
33.92  26  0 0 5

Cell lengths 5.459, 6.229, 13.654 Å; angles 76.94, 83.61, 89.95 degrees
Sites, in units of the cell vectors:
Mg1 0.000 0.000 0.000
Mg2 0.003 0.507 0.983
Mg3 0.245 0.547 0.399
Mg4 0.250 0.024 0.439
Mg5 0.389 0.926 0.664
Mg6 0.411 0.437 0.628
Mg7 0.520 0.254 0.985
Mg8 0.526 0.779 0.939
Mg9 0.608 0.126 0.230
Mg10 0.717 0.287 0.432
Mg11 0.733 0.774 0.455
Mg12 0.764 0.637 0.195
Mg13 0.846 0.130 0.778
Mg14 0.857 0.635 0.747
Si1 0.058 0.910 0.273
Si2 0.065 0.296 0.271
Si3 0.326 0.152 0.819
Si4 0.335 0.546 0.813
Si5 0.336 0.478 0.130
Si6 0.346 0.867 0.134
Si7 0.906 0.012 0.594
Si8 0.932 0.412 0.584

=====

No. 2
Computed XRD peak list of Li3Eu for λ = 1.5418 Å (Cu Kα), from a PBE-relaxed structure.
Lines closer than 0.1° are merged.

Main lines, in order of falling intensity (15 to 90 degrees two-theta):
2θ (°)  intensity  hkl
19.86  100  1 1 1
32.72  58  2 2 0
38.57  57  3 1 1
22.98  53  2 0 0
51.45  25  3 3 1
52.89  23  4 2 0
58.40  22  4 2 2
62.32  18  5 1 1
72.19  18  5 3 1
40.36  17  2 2 2
73.38  11  6 0 0
46.95  10  4 0 0

Cell lengths 7.742, 7.742, 7.742 Å; angles 90.00, 90.00, 90.00 degrees
Sites, in units of the cell vectors:
Li1 0.000 0.000 0.000
Li2 0.000 0.500 0.500
Li3 0.250 0.250 0.250
Li4 0.250 0.250 0.750
Li5 0.250 0.750 0.250
Li6 0.250 0.750 0.750
Li7 0.500 0.000 0.500
Li8 0.500 0.500 0.000
Li9 0.750 0.250 0.250
Li10 0.750 0.250 0.750
Li11 0.750 0.750 0.250
Li12 0.750 0.750 0.750
Eu1 0.000 0.000 0.500
Eu2 0.000 0.500 0.000
Eu3 0.500 0.000 0.000
Eu4 0.500 0.500 0.500

=====

Copy entry 1 word for word.
Computed XRD peak list of Mg7Si4 for λ = 1.5418 Å (Cu Kα), from a PBE-relaxed structure.
Lines closer than 0.1° are merged.

Main lines, in order of falling intensity (15 to 90 degrees two-theta):
2θ (°)  intensity  hkl
38.08  100  1 -2 2
34.27  72  -1 2 2
41.01  56  2 0 -3
36.89  52  2 0 3
33.33  50  1 0 -4
34.51  48  2 0 -1
35.21  47  0 2 -2
59.37  29  0 4 2
40.56  28  2 0 4
16.95  27  1 0 1
33.49  27  1 2 2
33.92  26  0 0 5

Cell lengths 5.459, 6.229, 13.654 Å; angles 76.94, 83.61, 89.95 degrees
Sites, in units of the cell vectors:
Mg1 0.000 0.000 0.000
Mg2 0.003 0.507 0.983
Mg3 0.245 0.547 0.399
Mg4 0.250 0.024 0.439
Mg5 0.389 0.926 0.664
Mg6 0.411 0.437 0.628
Mg7 0.520 0.254 0.985
Mg8 0.526 0.779 0.939
Mg9 0.608 0.126 0.230
Mg10 0.717 0.287 0.432
Mg11 0.733 0.774 0.455
Mg12 0.764 0.637 0.195
Mg13 0.846 0.130 0.778
Mg14 0.857 0.635 0.747
Si1 0.058 0.910 0.273
Si2 0.065 0.296 0.271
Si3 0.326 0.152 0.819
Si4 0.335 0.546 0.813
Si5 0.336 0.478 0.130
Si6 0.346 0.867 0.134
Si7 0.906 0.012 0.594
Si8 0.932 0.412 0.584